Diffraction record for La2ThCr2C4. The X-ray powder pattern is simulated, not measured: it uses DFT lattice parameters and positions (PBE) and a wavelength of 1.5418 Å.
Peak positions follow from Bragg's law for the DFT cell and can differ from measured ones.

Structure:
Cell lengths 13.750, 3.565, 6.260 Å; angles 90.00, 109.51, 90.00 degrees
Space group C2/m (No. 12)
One atom of each set of equivalent atoms:
La: 0.136 0.000 0.044 (multiplicity 4)
Th: 0.000 0.000 0.500 (multiplicity 2)
Cr: 0.185 0.500 0.500 (multiplicity 4)
C: 0.057 0.500 0.272 (multiplicity 4)
C: 0.213 0.000 0.659 (multiplicity 4)

Largest 6 diffraction maxima, sorted by position, 2θ from 10° to 90°:
3.438 Å, 25.9°, rel. 85.0, hkl 1 1 0; 3.351 Å, 26.6°, rel. 71.9, hkl 4 0 -1; 2.950 Å, 30.3°, rel. 70.2, hkl 0 0 2; 2.724 Å, 32.9°, rel. 100.0, hkl 3 1 -1; 2.344 Å, 38.4°, rel. 59.9, hkl 1 1 -2; 2.311 Å, 39.0°, rel. 82.3, hkl 3 1 1